Theoretical powder X-ray diffraction pattern
Compound: Ce4Mg2C
Radiation: copper Kα
Structure: DFT lattice parameters and positions (PBE)
Kinematic intensities with the Lorentz-polarization factor, no thermal factor.

Most intense lines, 2θ from 15° to 90°, by angle:
- (1 0 1), d 4.784, 18.5 deg, rel. 24
- (1 0 3), d 3.637, 24.5 deg, rel. 30
- (1 1 2), d 3.238, 27.5 deg, rel. 67
- (0 0 6), d 2.641, 33.9 deg, rel. 100
- (2 0 0), d 2.509, 35.8 deg, rel. 47
- (2 1 3), d 2.064, 43.9 deg, rel. 19
- (2 0 6), d 1.818, 50.2 deg, rel. 28
- (2 2 0), d 1.774, 51.5 deg, rel. 16
- (3 1 2), d 1.555, 59.4 deg, rel. 23
- (2 2 6), d 1.473, 63.1 deg, rel. 40

Structure:
Unit cell a=5.0181 b=5.0181 c=15.8334 alpha=90.00 beta=90.00 gamma=90.00
Element x y z (fractional)
Ce: 0.0000 0.0000 0.1533
Ce: 0.0000 0.0000 0.8467
Ce: 0.0000 0.5000 0.0000
Ce: 0.0000 0.5000 0.5000
Ce: 0.5000 0.0000 0.0000
Ce: 0.5000 0.0000 0.5000
Ce: 0.5000 0.5000 0.3467
Ce: 0.5000 0.5000 0.6533
Mg: 0.0000 0.0000 0.3636
Mg: 0.0000 0.0000 0.6364
Mg: 0.5000 0.5000 0.1364
Mg: 0.5000 0.5000 0.8636
C: 0.0000 0.0000 0.0000
C: 0.5000 0.5000 0.5000